No. 1
# MnSiPd6
Calculated powder diffraction line list, Cu Ka. Input: a crystal structure in Alexandria, relaxed with GGA-PBE.
Lines closer than 0.1° are merged.

Largest 12 diffraction maxima, low angle first, 15° ≤ 2θ ≤ 90°:
2θ (°), intensity, hkl
35.2, 47, 1 1 1
38.2, 51, 1 0 -2
38.5, 100, 2 -1 0
42.6, 8, 0 1 2
43.0, 14, 1 2 0
43.6, 69, 1 -1 2
44.0, 33, 2 1 -1
60.9, 10, 0 1 3
61.7, 16, 3 0 1
65.5, 10, 1 2 -3
65.7, 9, -3 1 2
65.9, 10, 2 -3 1

Atomic structure:
abc: 5.008 5.021 5.073
angles: 96.44 96.69 96.79
Space group P-1 (No. 2)
One atom of each set of equivalent atoms:
Mn  0.000  0.000  0.000 x1
Si  0.500  0.500  0.500 x1
Pd  0.090  0.266  0.559 x2
Pd  0.266  0.555  0.092 x2
Pd  0.447  0.910  0.736 x2


No. 2
# TlCu2Pd5
Calculated powder diffraction line list, Cu Ka. Input: a crystal structure in Alexandria, relaxed with GGA-PBE.
Lines closer than 0.1° are merged.

Largest 12 diffraction maxima, low angle first, 15° ≤ 2θ ≤ 90°:
2θ (°), intensity, hkl
37.3, 41, 1 1 4
37.7, 18, 2 2 0
38.4, 100, 2 1 3
42.0, 31, 2 0 4
42.4, 82, 3 1 0
50.3, 10, 2 2 4
61.5, 13, 4 2 0
64.5, 13, 4 0 4
67.8, 13, 3 3 4
76.1, 10, 4 0 6
81.0, 16, 5 2 3
82.5, 11, 3 1 8

Atomic structure:
abc: 6.745 6.745 11.183
angles: 90.00 90.00 90.00
Space group I4/mcm (No. 140)
One atom of each set of equivalent atoms:
Tl  0.000  0.000  0.250 x4
Cu  0.141  0.359  0.000 x8
Pd  0.000  0.000  0.000 x4
Pd  0.149  0.351  0.348 x16